(1)
The following is a simulated X-ray powder pattern of TaCl4F. It was derived from a crystal structure in the Materials Project, relaxed with GGA-PBE, using λ = 1.5418 Å (Cu Kα).

Structure:
```
data_TaCl4F
_chemical_formula_sum 'Ta8 Cl32 F8'
_cell_length_a 13.134
_cell_length_b 13.134
_cell_length_c 8.616
_cell_angle_alpha 90.00
_cell_angle_beta 90.00
_cell_angle_gamma 90.00
_symmetry_space_group_name_H-M 'I -4'
_symmetry_Int_Tables_number 82
loop_
_symmetry_equiv_pos_as_xyz
'x,y,z'
'y,-x,-z'
'-x,-y,z'
'-y,x,-z'
'x+1/2,y+1/2,z+1/2'
'y+1/2,-x+1/2,-z+1/2'
'-x+1/2,-y+1/2,z+1/2'
'-y+1/2,x+1/2,-z+1/2'
loop_
_atom_site_label
_atom_site_fract_x
_atom_site_fract_y
_atom_site_fract_z
Ta1 0.048 0.221 0.013
Cl1 0.041 0.185 0.276
Cl2 0.042 0.211 0.745
Cl3 0.054 0.639 0.029
Cl4 0.197 0.700 0.477
F1 0.080 0.875 0.002
```

Most intense lines, 2θ = 15–90°, by intensity:
| (hkl) | two_theta | I_rel |
| --- | --- | --- |
| 2 1 1 | 18.3 | 100 |
| 2 2 0 | 19.1 | 89 |
| 3 2 1 | 26.6 | 84 |
| 5 3 0 | 40.0 | 70 |
| 3 1 0 | 21.4 | 64 |
| 5 3 2 | 45.4 | 55 |
| 0 0 2 | 20.6 | 49 |
| 1 5 0 | 34.8 | 43 |
| 3 6 1 | 47.6 | 42 |
| 1 0 3 | 31.9 | 33 |

---

(2)
The following is a simulated X-ray powder pattern of Na2Gd2MgTi2O8. It was derived from a crystal structure in the Materials Project, relaxed with GGA-PBE, using λ = 1.5418 Å (Cu Kα).

Structure:
```
data_Na2Gd2MgTi2O8
_chemical_formula_sum 'Na2 Gd2 Mg1 Ti2 O8'
_cell_length_a 3.912
_cell_length_b 3.912
_cell_length_c 11.995
_cell_angle_alpha 90.00
_cell_angle_beta 90.00
_cell_angle_gamma 90.00
_symmetry_space_group_name_H-M 'P -4 m 2'
_symmetry_Int_Tables_number 115
loop_
_symmetry_equiv_pos_as_xyz
'x,y,z'
'y,-x,-z'
'-x,-y,z'
'-y,x,-z'
'-x,y,z'
'-y,-x,-z'
'x,-y,z'
'y,x,-z'
loop_
_atom_site_label
_atom_site_fract_x
_atom_site_fract_y
_atom_site_fract_z
Na1 0.000 0.500 0.138
Gd1 0.000 0.500 0.390
Mg1 0.000 0.000 0.000
Ti1 0.000 0.500 0.757
O1 0.000 0.000 0.250
O2 0.000 0.500 0.575
O3 0.000 0.500 0.930
O4 0.500 0.500 0.266
```

Most intense lines, 2θ = 15–90°, by intensity:
| (hkl) | two_theta | I_rel |
| --- | --- | --- |
| 1 0 3 | 32.0 | 100 |
| 1 0 2 | 27.2 | 100 |
| 1 1 0 | 32.4 | 84 |
| 2 0 0 | 46.4 | 60 |
| 1 1 4 | 44.6 | 45 |
| 1 1 1 | 33.2 | 43 |
| 2 1 3 | 57.5 | 39 |
| 1 0 5 | 44.3 | 31 |
| 2 1 2 | 54.7 | 30 |
| 1 0 1 | 23.9 | 24 |

---

(3)
The following is a simulated X-ray powder pattern of Mg2MnMo3S8. It was derived from a crystal structure in the Materials Project, relaxed with GGA-PBE, using λ = 1.5418 Å (Cu Kα).

Structure:
```
data_Mg2MnMo3S8
_chemical_formula_sum 'Mg6 Mn3 Mo9 S24'
_cell_length_a 7.4492
_cell_length_b 7.4492
_cell_length_c 17.9956
_cell_angle_alpha 90.00
_cell_angle_beta 90.00
_cell_angle_gamma 120.00
_symmetry_space_group_name_H-M 'R -3 m'
_symmetry_Int_Tables_number 166
_symmetry_space_group_name_Hall '-R 3 2"'
loop_
_atom_site_label
_atom_site_fract_x
_atom_site_fract_y
_atom_site_fract_z
Mg1 0.0000 0.0000 0.1234
Mn1 0.0000 0.0000 0.5000
Mo1 0.0000 0.5000 0.0000
S1 0.0000 0.0000 0.2603
S2 0.0283 0.5141 0.2543
```

Most intense lines, 2θ = 15–90°, by intensity:
| (hkl) | two_theta | I_rel |
| --- | --- | --- |
| 0 2 4 | 34.2 | 100 |
| 0 2 1 | 28.2 | 75 |
| 2 2 0 | 48.9 | 46 |
| 2 0 8 | 49.4 | 45 |
| 1 2 5 | 44.9 | 18 |
| 0 1 5 | 28.4 | 18 |
| 0 2 7 | 45.1 | 16 |
| 4 0 4 | 61.0 | 16 |
| 2 2 3 | 51.4 | 14 |
| 0 4 8 | 72.1 | 13 |

---

(4)
The following is a simulated X-ray powder pattern of Na3BrCl2. It was derived from a crystal structure in the Materials Project, relaxed with GGA-PBE, using λ = 1.5418 Å (Cu Kα).

Structure:
```
data_Na3BrCl2
_chemical_formula_sum 'Na6 Br2 Cl4'
_cell_length_a 4.134
_cell_length_b 4.134
_cell_length_c 17.476
_cell_angle_alpha 90.00
_cell_angle_beta 90.00
_cell_angle_gamma 90.00
_symmetry_space_group_name_H-M 'I 4/m m m'
_symmetry_Int_Tables_number 139
_symmetry_space_group_name_Hall '-I 4 2'
loop_
_atom_site_label
_atom_site_fract_x
_atom_site_fract_y
_atom_site_fract_z
Na1 0.000 0.000 0.000
Na2 0.000 0.000 0.330
Br1 0.000 0.000 0.500
Cl1 0.000 0.000 0.168
```

Most intense lines, 2θ = 15–90°, by intensity:
| (hkl) | two_theta | I_rel |
| --- | --- | --- |
| 2 0 0 | 43.8 | 100 |
| 1 1 0 | 30.6 | 97 |
| 0 0 6 | 30.7 | 48 |
| 1 0 3 | 26.4 | 37 |
| 2 0 6 | 54.4 | 33 |
| 3 1 0 | 72.3 | 27 |
| 3 1 6 | 80.5 | 20 |
| 1 0 1 | 22.1 | 16 |
| 1 1 12 | 72.5 | 13 |
| 2 2 0 | 63.7 | 10 |

---

(5)
The following is a simulated X-ray powder pattern of Na3SbCl6. It was derived from a crystal structure in the Materials Project, relaxed with GGA-PBE, using λ = 1.5418 Å (Cu Kα).

Structure:
```
data_Na3SbCl6
_chemical_formula_sum 'Na12 Sb4 Cl24'
_cell_length_a 10.690
_cell_length_b 10.690
_cell_length_c 10.690
_cell_angle_alpha 90.00
_cell_angle_beta 90.00
_cell_angle_gamma 90.00
_symmetry_space_group_name_H-M 'F m -3 m'
_symmetry_Int_Tables_number 225
_symmetry_space_group_name_Hall '-F 4 2 3'
loop_
_atom_site_label
_atom_site_fract_x
_atom_site_fract_y
_atom_site_fract_z
Na1 0.000 0.000 0.000
Na2 0.250 0.250 0.250
Sb1 0.000 0.000 0.500
Cl1 0.000 0.000 0.253
```

Most intense lines, 2θ = 15–90°, by intensity:
| (hkl) | two_theta | I_rel |
| --- | --- | --- |
| 2 0 0 | 16.6 | 100 |
| 4 0 0 | 33.5 | 97 |
| 4 4 0 | 48.2 | 63 |
| 4 2 0 | 37.6 | 47 |
| 2 2 0 | 23.5 | 41 |
| 3 1 1 | 27.7 | 34 |
| 8 4 0 | 80.3 | 26 |
| 6 0 0 | 51.3 | 23 |
| 4 4 4 | 59.9 | 21 |
| 4 2 2 | 41.4 | 20 |

---

(6)
The following is a simulated X-ray powder pattern of La3Re2O10. It was derived from a crystal structure in the Materials Project, relaxed with GGA-PBE, using λ = 1.5418 Å (Cu Kα).

Structure:
```
data_La3Re2O10
_chemical_formula_sum 'La6 Re4 O20'
_cell_length_a 7.943
_cell_length_b 7.874
_cell_length_c 7.230
_cell_angle_alpha 90.00
_cell_angle_beta 114.77
_cell_angle_gamma 90.00
_symmetry_space_group_name_H-M 'C 1 2/m 1'
_symmetry_Int_Tables_number 12
loop_
_symmetry_equiv_pos_as_xyz
'x,y,z'
'-x,-y,-z'
'-x,y,-z'
'x,-y,z'
'x+1/2,y+1/2,z'
'-x+1/2,-y+1/2,-z'
'-x+1/2,y+1/2,-z'
'x+1/2,-y+1/2,z'
loop_
_atom_site_label
_atom_site_fract_x
_atom_site_fract_y
_atom_site_fract_z
La1 0.000 0.000 0.000
La2 0.000 0.257 0.500
Re1 0.133 0.500 0.175
O1 0.095 0.000 0.718
O2 0.133 0.262 0.213
O3 0.149 0.500 0.907
O4 0.167 0.500 0.469
```

Most intense lines, 2θ = 15–90°, by intensity:
| (hkl) | two_theta | I_rel |
| --- | --- | --- |
| 0 2 1 | 26.4 | 100 |
| 2 2 -1 | 32.2 | 76 |
| 2 0 -2 | 28.1 | 71 |
| 0 4 0 | 46.1 | 46 |
| 1 1 -1 | 17.9 | 42 |
| 1 1 1 | 24.6 | 33 |
| 1 1 -3 | 39.4 | 28 |
| 3 1 0 | 39.2 | 27 |
| 0 2 0 | 22.6 | 27 |
| 4 2 -3 | 55.8 | 25 |

---

(7)
The following is a simulated X-ray powder pattern of Na3HfTaGe3O12. It was derived from a crystal structure in the Materials Project, relaxed with GGA-PBE, using λ = 1.5418 Å (Cu Kα).

Structure:
```
data_Na3HfTaGe3O12
_chemical_formula_sum 'Na12 Hf4 Ta4 Ge12 O48'
_cell_length_a 16.256
_cell_length_b 9.417
_cell_length_c 9.321
_cell_angle_alpha 90.00
_cell_angle_beta 124.94
_cell_angle_gamma 90.00
_symmetry_space_group_name_H-M 'C 1 c 1'
_symmetry_Int_Tables_number 9
loop_
_symmetry_equiv_pos_as_xyz
'x,y,z'
'x,-y,z+1/2'
'x+1/2,y+1/2,z'
'x+1/2,-y+1/2,z+1/2'
loop_
_atom_site_label
_atom_site_fract_x
_atom_site_fract_y
_atom_site_fract_z
Na1 0.000 0.055 0.000
Na2 0.064 0.274 0.708
Na3 0.309 0.116 0.955
Hf1 0.416 0.250 0.780
Ta1 0.202 0.252 0.142
Ge1 0.165 0.106 0.468
Ge2 0.306 0.460 0.966
Ge3 0.455 0.108 0.454
O1 0.054 0.300 0.967
O2 0.062 0.167 0.462
O3 0.160 0.085 0.969
O4 0.165 0.141 0.278
O5 0.218 0.350 0.966
O6 0.239 0.420 0.283
O7 0.275 0.164 0.656
O8 0.341 0.176 0.263
O9 0.381 0.440 0.654
O10 0.389 0.348 0.955
O11 0.452 0.157 0.630
O12 0.462 0.077 0.956
```

Most intense lines, 2θ = 15–90°, by intensity:
| (hkl) | two_theta | I_rel |
| --- | --- | --- |
| 1 1 1 | 18.9 | 100 |
| 3 3 -1 | 33.0 | 56 |
| 2 2 -2 | 26.9 | 28 |
| 0 2 1 | 22.2 | 25 |
| 1 5 1 | 51.4 | 25 |
| 3 1 1 | 30.0 | 23 |
| 3 1 -3 | 30.3 | 22 |
| 0 2 2 | 30.1 | 21 |
| 6 0 -2 | 33.1 | 21 |
| 2 0 -2 | 19.0 | 19 |

---

(8)
The following is a simulated X-ray powder pattern of LiEr4Zr4O14. It was derived from a crystal structure in the Materials Project, relaxed with GGA-PBE, using λ = 1.5418 Å (Cu Kα).

Structure:
```
data_LiEr4Zr4O14
_chemical_formula_sum 'Li1 Er4 Zr4 O14'
_cell_length_a 7.201
_cell_length_b 3.883
_cell_length_c 10.660
_cell_angle_alpha 90.00
_cell_angle_beta 90.27
_cell_angle_gamma 90.00
_symmetry_space_group_name_H-M 'P 1 2/m 1'
_symmetry_Int_Tables_number 10
loop_
_symmetry_equiv_pos_as_xyz
'x,y,z'
'-x,-y,-z'
'-x,y,-z'
'x,-y,z'
loop_
_atom_site_label
_atom_site_fract_x
_atom_site_fract_y
_atom_site_fract_z
Li1 0.000 0.000 0.000
Er1 0.000 0.500 0.000
Er2 0.255 0.000 0.721
Er3 0.500 0.500 0.000
Zr1 0.000 0.500 0.500
Zr2 0.253 0.000 0.257
Zr3 0.500 0.500 0.500
O1 0.023 0.000 0.388
O2 0.026 0.000 0.854
O3 0.245 0.500 0.118
O4 0.252 0.500 0.364
O5 0.252 0.500 0.618
O6 0.473 0.000 0.868
O7 0.478 0.000 0.387
```

Most intense lines, 2θ = 15–90°, by intensity:
| (hkl) | two_theta | I_rel |
| --- | --- | --- |
| 0 1 2 | 28.4 | 100 |
| 2 0 2 | 30.0 | 44 |
| 2 0 -2 | 29.9 | 44 |
| 2 1 0 | 34.0 | 39 |
| 2 1 4 | 48.6 | 29 |
| 2 2 2 | 56.6 | 29 |
| 2 1 -4 | 48.4 | 28 |
| 0 2 0 | 46.8 | 19 |
| 0 0 4 | 33.6 | 17 |
| 4 0 0 | 50.7 | 15 |

---

(9)
The following is a simulated X-ray powder pattern of NaSr4B3N6. It was derived from a crystal structure in the Materials Project, relaxed with GGA-PBE, using λ = 1.5418 Å (Cu Kα).

Structure:
```
data_NaSr4B3N6
_chemical_formula_sum 'Na2 Sr8 B6 N12'
_cell_length_a 7.591
_cell_length_b 7.591
_cell_length_c 7.591
_cell_angle_alpha 90.00
_cell_angle_beta 90.00
_cell_angle_gamma 90.00
_symmetry_space_group_name_H-M 'I m -3 m'
_symmetry_Int_Tables_number 229
_symmetry_space_group_name_Hall '-I 4 2 3'
loop_
_atom_site_label
_atom_site_fract_x
_atom_site_fract_y
_atom_site_fract_z
Na1 0.000 0.000 0.000
Sr1 0.250 0.250 0.250
B1 0.000 0.000 0.500
N1 0.000 0.000 0.322
```

Most intense lines, 2θ = 15–90°, by intensity:
| (hkl) | two_theta | I_rel |
| --- | --- | --- |
| 2 2 0 | 33.4 | 100 |
| 2 0 0 | 23.4 | 52 |
| 4 2 2 | 59.7 | 31 |
| 4 2 0 | 54.0 | 30 |
| 2 2 2 | 41.2 | 29 |
| 4 0 0 | 47.9 | 22 |
| 6 2 0 | 79.9 | 18 |
| 4 4 2 | 75.1 | 15 |
| 4 4 0 | 70.1 | 12 |
| 6 2 2 | 84.7 | 9 |

---

(10)
The following is a simulated X-ray powder pattern of MgAg4O6. It was derived from a crystal structure in the Materials Project, relaxed with GGA-PBE, using λ = 1.5418 Å (Cu Kα).

Structure:
```
data_MgAg4O6
_chemical_formula_sum 'Mg1 Ag4 O6'
_cell_length_a 5.279
_cell_length_b 5.279
_cell_length_c 5.279
_cell_angle_alpha 90.00
_cell_angle_beta 90.00
_cell_angle_gamma 90.00
_symmetry_space_group_name_H-M 'P -4 3 m'
_symmetry_Int_Tables_number 215
_symmetry_space_group_name_Hall 'P -4 2 3'
loop_
_atom_site_label
_atom_site_fract_x
_atom_site_fract_y
_atom_site_fract_z
Mg1 0.000 0.000 0.000
Ag1 0.281 0.281 0.281
O1 0.000 0.000 0.500
O2 0.000 0.500 0.500
```

Most intense lines, 2θ = 15–90°, by intensity:
| (hkl) | two_theta | I_rel |
| --- | --- | --- |
| 1 1 1 | 29.3 | 100 |
| 2 2 0 | 48.8 | 48 |
| 3 1 1 | 57.9 | 30 |
| 2 0 0 | 34.0 | 23 |
| 2 1 1 | 41.9 | 16 |
| 4 1 1 | 76.6 | 10 |
| 2 1 0 | 38.1 | 9 |
| 3 3 1 | 79.1 | 8 |
| 3 0 0 | 52.0 | 8 |
| 3 2 0 | 63.5 | 7 |